Structure and simulated X-ray powder pattern of Na2SrZn2Bi2 (a DFT-relaxed cell (PBE, Alexandria); Cu Kα X-rays).
Lines closer than 0.1° are merged.

Cell and atoms:
a b c (Å): 4.9182 4.9182 27.3970
angles (deg): 90.00 90.00 120.00
Space group R-3m (No. 166, hexagonal axes)
Symmetry-distinct sites (fractional):
Na (0.0000, 0.0000, 0.1406) x6
Sr (0.0000, 0.0000, 0.0000) x3
Zn (0.0000, 0.0000, 0.4516) x6
Bi (0.0000, 0.0000, 0.2580) x6

Largest 10 diffraction maxima, by angle, 2θ from 5° to 70°:
hkl 0 0 6, 2θ = 19.44°, d 4.566, rel. 23; hkl 0 1 2, 2θ = 21.85°, d 4.067, rel. 24; hkl 1 0 4, 2θ = 24.61°, d 3.617, rel. 100; hkl 1 0 7, 2θ = 31.03°, d 2.882, rel. 29; hkl 0 1 8, 2θ = 33.58°, d 2.669, rel. 29; hkl 1 1 0, 2θ = 36.54°, d 2.459, rel. 71; hkl 1 0 10, 2θ = 39.09°, d 2.304, rel. 26; hkl 1 1 6, 2θ = 41.72°, d 2.165, rel. 21; hkl 0 2 4, 2θ = 44.56°, d 2.034, rel. 21; hkl 2 1 4, 2θ = 58.93°, d 1.567, rel. 19

Structure and simulated X-ray powder pattern of NaTbBi2 (a DFT-relaxed cell (PBE, Alexandria); Cu Kα X-rays).
Lines closer than 0.1° are merged.

Cell and atoms:
a b c (Å): 4.8819 4.8819 19.3451
angles (deg): 90.00 90.00 120.00
Space group R3m (No. 160, hexagonal axes)
Symmetry-distinct sites (fractional):
Na (0.0000, 0.0000, 0.0000) x3
Tb (0.0000, 0.0000, 0.8198) x3
Bi (0.0000, 0.0000, 0.2382) x3
Bi (0.0000, 0.0000, 0.4076) x3

Largest 10 diffraction maxima, by angle, 2θ from 5° to 70°:
hkl 1 0 1, 2θ = 21.51°, d 4.130, rel. 29; hkl 0 1 2, 2θ = 22.96°, d 3.874, rel. 86; hkl 0 1 5, 2θ = 31.34°, d 2.854, rel. 100; hkl 1 1 0, 2θ = 36.82°, d 2.441, rel. 79; hkl 1 0 7, 2θ = 38.93°, d 2.313, rel. 48; hkl 2 0 5, 2θ = 49.11°, d 1.855, rel. 29; hkl 0 2 7, 2θ = 54.66°, d 1.679, rel. 18; hkl 1 2 5, 2θ = 62.93°, d 1.477, rel. 28; hkl 2 1 7, 2θ = 67.74°, d 1.383, rel. 20; hkl 1 1 12, 2θ = 69.93°, d 1.345, rel. 24

Structure and simulated X-ray powder pattern of Na3BiTe2 (a DFT-relaxed cell (PBE, Alexandria); Cu Kα X-rays).
Lines closer than 0.1° are merged.

Cell and atoms:
a b c (Å): 7.773 15.123 7.098
angles (deg): 90.00 90.00 90.00
Space group Ibam (No. 72)
Symmetry-distinct sites (fractional):
Na (0.000, 0.000, 0.250) x4
Na (0.000, 0.275, 0.250) x8
Bi (0.000, 0.500, 0.000) x4
Te (0.204, 0.139, 0.000) x8

Largest 10 diffraction maxima, by angle, 2θ from 5° to 70°:
hkl 0 2 0, 2θ = 11.70°, d 7.561, rel. 29; hkl 1 1 0, 2θ = 12.81°, d 6.913, rel. 51; hkl 1 2 1, 2θ = 20.62°, d 4.308, rel. 100; hkl 1 3 0, 2θ = 21.01°, d 4.229, rel. 41; hkl 0 0 2, 2θ = 25.09°, d 3.549, rel. 40; hkl 1 3 2, 2θ = 32.95°, d 2.719, rel. 55; hkl 2 4 0, 2θ = 33.06°, d 2.710, rel. 60; hkl 2 2 2, 2θ = 36.28°, d 2.476, rel. 31; hkl 2 4 2, 2θ = 41.95°, d 2.154, rel. 33; hkl 3 1 2, 2θ = 43.67°, d 2.073, rel. 30

Structure and simulated X-ray powder pattern of Na5BiTe5 (a DFT-relaxed cell (PBE, Alexandria); Cu Kα X-rays).
Lines closer than 0.1° are merged.

Cell and atoms:
a b c (Å): 16.387 6.298 7.386
angles (deg): 90.00 102.60 90.00
Space group C2/m (No. 12)
Symmetry-distinct sites (fractional):
Na (0.000, 0.000, 0.000) x2
Na (0.166, 0.500, 0.825) x4
Na (0.175, 0.500, 0.358) x4
Bi (0.000, 0.000, 0.500) x2
Te (0.000, 0.500, 0.500) x2
Te (0.158, 0.000, 0.313) x4
Te (0.159, 0.000, 0.839) x4

Largest 10 diffraction maxima, by angle, 2θ from 5° to 70°:
hkl 0 0 1, 2θ = 12.28°, d 7.208, rel. 55; hkl 2 0 -1, 2θ = 14.64°, d 6.050, rel. 45; hkl 1 1 0, 2θ = 15.12°, d 5.860, rel. 100; hkl 0 2 0, 2θ = 28.34°, d 3.149, rel. 96; hkl 2 0 2, 2θ = 29.32°, d 3.046, rel. 84; hkl 4 0 -2, 2θ = 29.53°, d 3.025, rel. 85; hkl 6 0 0, 2θ = 33.62°, d 2.665, rel. 58; hkl 2 2 2, 2θ = 41.23°, d 2.189, rel. 67; hkl 4 2 -2, 2θ = 41.39°, d 2.182, rel. 67; hkl 6 2 0, 2θ = 44.53°, d 2.035, rel. 57

Structure and simulated X-ray powder pattern of Na2ZrBiTe4 (a DFT-relaxed cell (PBE, Alexandria); Cu Kα X-rays).
Lines closer than 0.1° are merged.

Cell and atoms:
a b c (Å): 7.836 4.303 7.904
angles (deg): 90.00 108.01 90.00
Space group P2/m (No. 10)
Symmetry-distinct sites (fractional):
Na (0.000, 0.000, 0.000) x1
Na (0.500, 0.500, 0.000) x1
Zr (0.000, 0.500, 0.500) x1
Bi (0.500, 0.000, 0.500) x1
Te (0.230, 0.000, 0.722) x2
Te (0.239, 0.500, 0.270) x2

Largest 10 diffraction maxima, by angle, 2θ from 5° to 70°:
hkl 0 0 1, 2θ = 11.77°, d 7.517, rel. 57; hkl 1 1 0, 2θ = 23.87°, d 3.728, rel. 18; hkl 2 0 -2, 2θ = 28.03°, d 3.184, rel. 50; hkl 1 1 1, 2θ = 28.33°, d 3.151, rel. 100; hkl 2 0 -3, 2θ = 36.49°, d 2.462, rel. 20; hkl 2 0 2, 2θ = 38.94°, d 2.313, rel. 20; hkl 1 1 -3, 2θ = 40.14°, d 2.246, rel. 36; hkl 3 1 -1, 2θ = 40.40°, d 2.232, rel. 38; hkl 0 2 0, 2θ = 41.99°, d 2.152, rel. 22; hkl 2 2 -2, 2θ = 51.25°, d 1.783, rel. 19

Structure and simulated X-ray powder pattern of NaTh4Bi5 (a DFT-relaxed cell (PBE, Alexandria); Cu Kα X-rays).
Lines closer than 0.1° are merged.

Cell and atoms:
a b c (Å): 4.578 6.488 23.325
angles (deg): 90.00 90.00 90.00
Space group Immm (No. 71)
Symmetry-distinct sites (fractional):
Na (0.000, 0.000, 0.000) x2
Th (0.000, 0.000, 0.201) x4
Th (0.000, 0.000, 0.402) x4
Bi (0.000, 0.500, 0.000) x2
Bi (0.000, 0.500, 0.199) x4
Bi (0.000, 0.500, 0.398) x4

Largest 10 diffraction maxima, by angle, 2θ from 5° to 70°:
hkl 1 0 5, 2θ = 27.29°, d 3.267, rel. 100; hkl 0 2 0, 2θ = 27.49°, d 3.244, rel. 49; hkl 0 0 10, 2θ = 38.60°, d 2.332, rel. 20; hkl 1 2 5, 2θ = 39.13°, d 2.302, rel. 80; hkl 2 0 0, 2θ = 39.37°, d 2.289, rel. 19; hkl 0 2 10, 2θ = 48.04°, d 1.894, rel. 22; hkl 2 2 0, 2θ = 48.69°, d 1.870, rel. 21; hkl 2 0 10, 2θ = 56.31°, d 1.634, rel. 14; hkl 2 2 10, 2θ = 63.79°, d 1.459, rel. 19; hkl 1 4 5, 2θ = 64.09°, d 1.453, rel. 19

Structure and simulated X-ray powder pattern of Na6Tl8Bi (a DFT-relaxed cell (PBE, Alexandria); Cu Kα X-rays).
Lines closer than 0.1° are merged.

Cell and atoms:
a b c (Å): 8.7083 8.7083 20.8017
angles (deg): 90.00 90.00 120.00
Space group R-3 (No. 148, hexagonal axes)
Symmetry-distinct sites (fractional):
Na (0.0517, 0.7793, 0.2228) x18
Tl (0.0000, 0.0000, 0.3439) x6
Tl (0.0299, 0.7872, 0.0629) x18
Bi (0.0000, 0.0000, 0.5000) x3

Largest 10 diffraction maxima, by angle, 2θ from 5° to 70°:
hkl 0 0 3, 2θ = 12.77°, d 6.934, rel. 37; hkl 0 1 2, 2θ = 14.51°, d 6.105, rel. 45; hkl 0 2 1, 2θ = 23.98°, d 3.710, rel. 32; hkl 1 1 3, 2θ = 24.14°, d 3.687, rel. 48; hkl 3 -1 1, 2θ = 31.68°, d 2.824, rel. 100; hkl 1 0 7, 2θ = 32.38°, d 2.765, rel. 46; hkl 1 1 6, 2θ = 33.03°, d 2.712, rel. 69; hkl 3 -1 4, 2θ = 35.93°, d 2.500, rel. 41; hkl 1 2 5, 2θ = 38.28°, d 2.351, rel. 35; hkl 4 1 0, 2θ = 55.87°, d 1.646, rel. 31

Structure and simulated X-ray powder pattern of Na5TlBi2 (a DFT-relaxed cell (PBE, Alexandria); Cu Kα X-rays).
Lines closer than 0.1° are merged.

Cell and atoms:
a b c (Å): 5.4941 5.4941 20.6349
angles (deg): 90.00 90.00 120.00
Space group P6_3/mmc (No. 194)
Symmetry-distinct sites (fractional):
Na (0.0000, 0.0000, 0.1438) x4
Na (0.3333, 0.6667, 0.0551) x4
Na (0.3333, 0.6667, 0.2500) x2
Tl (0.3333, 0.6667, 0.7500) x2
Bi (0.3333, 0.6667, 0.6036) x4

Largest 10 diffraction maxima, by angle, 2θ from 5° to 70°:
hkl 1 0 0, 2θ = 18.65°, d 4.758, rel. 37; hkl 1 0 1, 2θ = 19.14°, d 4.636, rel. 100; hkl 0 0 6, 2θ = 25.91°, d 3.439, rel. 17; hkl 1 0 6, 2θ = 32.11°, d 2.787, rel. 21; hkl 1 1 0, 2θ = 32.60°, d 2.747, rel. 60; hkl 1 0 7, 2θ = 35.83°, d 2.506, rel. 49; hkl 2 0 1, 2θ = 38.08°, d 2.363, rel. 18; hkl 1 1 6, 2θ = 42.10°, d 2.146, rel. 29; hkl 2 0 7, 2θ = 49.22°, d 1.851, rel. 20; hkl 2 1 7, 2θ = 60.28°, d 1.535, rel. 22

Structure and simulated X-ray powder pattern of Na3Tl12Bi (a DFT-relaxed cell (PBE, Alexandria); Cu Kα X-rays).
Lines closer than 0.1° are merged.

Cell and atoms:
a b c (Å): 5.069 5.069 18.619
angles (deg): 90.00 90.00 90.00
Space group P4/mmm (No. 123)
Symmetry-distinct sites (fractional):
Na (0.000, 0.000, 0.000) x1
Na (0.000, 0.000, 0.247) x2
Tl (0.000, 0.500, 0.123) x4
Tl (0.000, 0.500, 0.373) x4
Tl (0.500, 0.500, 0.000) x1
Tl (0.500, 0.500, 0.245) x2
Tl (0.500, 0.500, 0.500) x1
Bi (0.000, 0.000, 0.500) x1

Largest 10 diffraction maxima, by angle, 2θ from 5° to 70°:
hkl 1 0 0, 2θ = 17.50°, d 5.069, rel. 8; hkl 1 0 4, 2θ = 25.99°, d 3.428, rel. 6; hkl 1 1 4, 2θ = 31.50°, d 2.840, rel. 100; hkl 2 0 0, 2θ = 35.42°, d 2.534, rel. 37; hkl 0 0 8, 2θ = 38.69°, d 2.327, rel. 14; hkl 2 2 0, 2θ = 50.96°, d 1.792, rel. 14; hkl 2 0 8, 2θ = 53.45°, d 1.714, rel. 23; hkl 3 1 4, 2θ = 61.15°, d 1.516, rel. 31; hkl 1 1 12, 2θ = 65.56°, d 1.424, rel. 12; hkl 2 2 8, 2θ = 65.77°, d 1.420, rel. 12

Structure and simulated X-ray powder pattern of Na5Tl6Bi (a DFT-relaxed cell (PBE, Alexandria); Cu Kα X-rays).
Lines closer than 0.1° are merged.

Cell and atoms:
a b c (Å): 4.745 9.654 7.936
angles (deg): 90.00 106.63 90.00
Space group P2/m (No. 10)
Symmetry-distinct sites (fractional):
Na (0.000, 0.000, 0.000) x1
Na (0.332, 0.000, 0.668) x2
Na (0.338, 0.500, 0.678) x2
Tl (0.171, 0.252, 0.336) x4
Tl (0.500, 0.247, 0.000) x2
Bi (0.000, 0.500, 0.000) x1

Largest 10 diffraction maxima, by angle, 2θ from 5° to 70°:
hkl 0 2 0, 2θ = 18.38°, d 4.827, rel. 60; hkl 1 0 1, 2θ = 25.54°, d 3.487, rel. 28; hkl 1 0 -2, 2θ = 25.89°, d 3.441, rel. 27; hkl 1 2 1, 2θ = 31.65°, d 2.827, rel. 100; hkl 1 2 -2, 2θ = 31.94°, d 2.802, rel. 98; hkl 0 0 3, 2θ = 35.41°, d 2.535, rel. 37; hkl 0 4 0, 2θ = 37.25°, d 2.414, rel. 32; hkl 2 0 -1, 2θ = 37.92°, d 2.372, rel. 31; hkl 0 4 3, 2θ = 52.34°, d 1.748, rel. 25; hkl 2 4 -1, 2θ = 54.21°, d 1.692, rel. 23

Structure and simulated X-ray powder pattern of Na3Tl7Bi2 (a DFT-relaxed cell (PBE, Alexandria); Cu Kα X-rays).
Lines closer than 0.1° are merged.

Cell and atoms:
a b c (Å): 6.5635 6.5635 32.5697
angles (deg): 90.00 90.00 120.00
Space group R-3m (No. 166, hexagonal axes)
Symmetry-distinct sites (fractional):
Na (0.0000, 0.0000, 0.0000) x3
Na (0.0000, 0.0000, 0.1348) x6
Tl (0.0000, 0.0000, 0.5000) x3
Tl (0.0075, 0.5037, 0.9142) x18
Bi (0.0000, 0.0000, 0.3346) x6

Largest 10 diffraction maxima, by angle, 2θ from 5° to 70°:
hkl 1 0 1, 2θ = 15.83°, d 5.600, rel. 100; hkl 0 2 1, 2θ = 31.61°, d 2.830, rel. 24; hkl 1 1 6, 2θ = 31.86°, d 2.808, rel. 92; hkl 0 0 12, 2θ = 33.00°, d 2.714, rel. 40; hkl 2 0 5, 2θ = 34.43°, d 2.605, rel. 73; hkl 0 2 7, 2θ = 37.06°, d 2.426, rel. 51; hkl 2 1 1, 2θ = 42.17°, d 2.143, rel. 31; hkl 0 3 6, 2θ = 51.06°, d 1.789, rel. 25; hkl 2 2 0, 2θ = 56.05°, d 1.641, rel. 31; hkl 2 2 12, 2θ = 66.60°, d 1.404, rel. 33

Structure and simulated X-ray powder pattern of NaTl4Bi2 (a DFT-relaxed cell (PBE, Alexandria); Cu Kα X-rays).
Lines closer than 0.1° are merged.

Cell and atoms:
a b c (Å): 8.465 6.477 11.794
angles (deg): 90.00 133.83 90.00
Space group P2_1/c (No. 14)
Symmetry-distinct sites (fractional):
Na (0.000, 0.000, 0.000) x2
Tl (0.378, 0.001, 0.689) x4
Tl (0.500, 0.249, 0.997) x4
Bi (0.001, 0.007, 0.302) x4

Largest 10 diffraction maxima, by angle, 2θ from 5° to 70°:
hkl 1 1 -1, 2θ = 17.22°, d 5.148, rel. 36; hkl 0 2 0, 2θ = 27.54°, d 3.239, rel. 18; hkl 2 0 0, 2θ = 29.25°, d 3.053, rel. 29; hkl 2 0 -4, 2θ = 30.31°, d 2.948, rel. 32; hkl 1 2 0, 2θ = 31.26°, d 2.861, rel. 20; hkl 0 1 3, 2θ = 34.52°, d 2.598, rel. 28; hkl 3 1 -3, 2θ = 34.70°, d 2.586, rel. 27; hkl 2 2 -2, 2θ = 34.86°, d 2.574, rel. 100; hkl 3 1 -5, 2θ = 41.41°, d 2.181, rel. 19; hkl 3 2 0, 2θ = 53.15°, d 1.723, rel. 19

Structure and simulated X-ray powder pattern of NaTl10Bi4 (a DFT-relaxed cell (PBE, Alexandria); Cu Kα X-rays).
Lines closer than 0.1° are merged.

Cell and atoms:
a b c (Å): 11.793 11.793 8.006
angles (deg): 90.00 90.00 90.00
Space group I4/m (No. 87)
Symmetry-distinct sites (fractional):
Na (0.000, 0.000, 0.000) x2
Tl (0.000, 0.500, 0.250) x4
Tl (0.090, 0.194, 0.265) x16
Bi (0.117, 0.694, 0.500) x8

Largest 10 diffraction maxima, by angle, 2θ from 5° to 70°:
hkl 1 2 1, 2θ = 20.16°, d 4.404, rel. 32; hkl 0 0 2, 2θ = 22.21°, d 4.003, rel. 11; hkl 3 1 0, 2θ = 23.86°, d 3.729, rel. 20; hkl 3 1 2, 2θ = 32.82°, d 2.729, rel. 100; hkl 2 4 0, 2θ = 34.00°, d 2.637, rel. 46; hkl 0 0 4, 2θ = 45.31°, d 2.002, rel. 11; hkl 6 2 0, 2θ = 48.84°, d 1.865, rel. 16; hkl 2 4 4, 2θ = 57.84°, d 1.594, rel. 19; hkl 5 5 2, 2θ = 60.10°, d 1.539, rel. 32; hkl 6 2 4, 2θ = 68.81°, d 1.364, rel. 10